Theoretical X-ray powder pattern
Compound: Sc2Ga5Rh
Radiation: Cu Ka
Structure: a structure optimized by DFT (GGA-PBE)
Peak positions follow from Bragg's law for the DFT cell and can differ from measured ones.

Peak list (10 most intense, 2θ = 15–90°, sorted by position)
- 2θ = 38.41°, 2.343 Å, intensity 100, hkl 2 2 2
- 2θ = 44.27°, 2.046 Å, intensity 17, hkl 0 0 4
- 2θ = 44.70°, 2.027 Å, intensity 16, hkl 0 4 0
- 2θ = 44.97°, 2.016 Å, intensity 16, hkl 4 0 0
- 2θ = 64.74°, 1.440 Å, intensity 10, hkl 0 4 4
- 2θ = 64.94°, 1.436 Å, intensity 10, hkl 4 0 4
- 2θ = 77.55°, 1.231 Å, intensity 12, hkl 2 2 6
- 2θ = 78.17°, 1.223 Å, intensity 12, hkl 2 6 2
- 2θ = 78.55°, 1.218 Å, intensity 11, hkl 6 2 2
- 2θ = 82.28°, 1.172 Å, intensity 10, hkl 4 4 4

Structure:
```
data_Sc2Ga5Rh
_chemical_formula_sum 'Sc8 Ga20 Rh4'
_cell_length_a 8.0630
_cell_length_b 8.1087
_cell_length_c 8.1838
_cell_angle_alpha 90.00
_cell_angle_beta 90.00
_cell_angle_gamma 90.00
_symmetry_space_group_name_H-M 'F m m m'
_symmetry_Int_Tables_number 69
_symmetry_space_group_name_Hall '-F 2 2'
loop_
_atom_site_label
_atom_site_fract_x
_atom_site_fract_y
_atom_site_fract_z
_atom_site_occupancy
Sc1 0.2500 0.2500 0.0000 1
Ga1 0.0000 0.0000 0.0000 1
Ga2 0.0000 0.2500 0.2500 1
Ga3 0.2500 0.0000 0.2500 1
Rh1 0.0000 0.0000 0.5000 1
```